Calculated powder diffraction line list of YGa3Rh2 for copper Kα, from a PBE-relaxed structure.
Lines closer than 0.1° are merged.

Principal peaks in the range 15° ≤ 2θ ≤ 90°, by intensity:
d [Å]	intensity
2.074	100
2.577	81
2.429	67
2.316	57
2.551	44
2.008	39
2.327	33
2.671	32
3.979	25
1.900	24

Structure:
```
YGa3Rh2
1.0
4.653 -3.979 0.000
4.653 3.979 0.000
0.000 0.000 5.697
Y Ga Rh
2 6 4
Direct
0.139 0.861 0.750 Y
0.861 0.139 0.250 Y
0.057 0.614 0.250 Ga
0.386 0.943 0.250 Ga
0.487 0.513 0.250 Ga
0.513 0.487 0.750 Ga
0.614 0.057 0.750 Ga
0.943 0.386 0.750 Ga
0.276 0.276 0.000 Rh
0.276 0.276 0.500 Rh
0.724 0.724 0.000 Rh
0.724 0.724 0.500 Rh
```



Calculated powder diffraction line list of PmSb3Au8 for copper Kα, from a PBE-relaxed structure.
Lines closer than 0.1° are merged.

Principal peaks in the range 15° ≤ 2θ ≤ 90°, by intensity:
d [Å]	intensity
2.421	100
2.306	73
2.414	56
2.400	40
2.436	35
2.332	32
4.613	32
2.392	20
2.837	19
2.814	17

Structure:
```
PmSb3Au8
1.0
5.627 0.000 0.000
2.777 4.899 0.000
2.714 1.588 9.330
Pm Sb Au
1 3 8
Direct
0.000 0.000 0.000 Pm
0.132 0.131 0.627 Sb
0.497 0.513 0.491 Sb
0.633 0.637 0.103 Sb
0.050 0.554 0.817 Au
0.129 0.572 0.313 Au
0.336 0.339 0.056 Au
0.553 0.055 0.820 Au
0.560 0.991 0.312 Au
0.564 0.573 0.769 Au
0.839 0.868 0.551 Au
0.990 0.157 0.288 Au
```



Calculated powder diffraction line list of Na2PmI5 for copper Kα, from a PBE-relaxed structure.
Lines closer than 0.1° are merged.

Principal peaks in the range 15° ≤ 2θ ≤ 90°, by intensity:
d [Å]	intensity
2.983	100
3.258	97
3.215	71
3.620	71
2.816	52
2.681	47
3.083	43
4.782	40
2.390	35
2.090	29

Structure:
```
Na2PmI5
1.0
13.939 0.000 0.000
0.000 9.560 0.000
0.000 0.000 9.147
Na Pm I
8 4 20
Direct
0.180 0.017 0.018 Na
0.180 0.483 0.018 Na
0.320 0.517 0.518 Na
0.320 0.983 0.518 Na
0.680 0.017 0.482 Na
0.680 0.483 0.482 Na
0.820 0.517 0.982 Na
0.820 0.983 0.982 Na
0.006 0.750 0.586 Pm
0.494 0.250 0.086 Pm
0.506 0.750 0.914 Pm
0.994 0.250 0.414 Pm
0.007 0.750 0.941 I
0.087 0.047 0.663 I
0.087 0.453 0.663 I
0.182 0.750 0.364 I
0.213 0.250 0.321 I
0.287 0.750 0.821 I
0.318 0.250 0.864 I
0.413 0.547 0.163 I
0.413 0.953 0.163 I
0.493 0.250 0.441 I
0.507 0.750 0.559 I
0.587 0.047 0.837 I
0.587 0.453 0.837 I
0.682 0.750 0.136 I
0.713 0.250 0.179 I
0.787 0.750 0.679 I
0.818 0.250 0.636 I
0.913 0.547 0.337 I
0.913 0.953 0.337 I
0.993 0.250 0.059 I
```



Calculated powder diffraction line list of Pm2Al5Ir3 for copper Kα, from a PBE-relaxed structure.
Lines closer than 0.1° are merged.

Principal peaks in the range 15° ≤ 2θ ≤ 90°, by intensity:
d [Å]	intensity
2.549	100
2.564	63
3.343	52
3.584	51
2.153	49
2.368	40
1.957	33
1.846	29
3.295	28
3.605	27

Structure:
```
Pm2Al5Ir3
1.0
2.153 -12.634 0.000
2.153 12.634 0.000
0.000 0.000 6.826
Pm Al Ir
4 10 6
Direct
0.022 0.978 0.500 Pm
0.324 0.676 0.558 Pm
0.676 0.324 0.058 Pm
0.978 0.022 0.000 Pm
0.100 0.900 0.872 Al
0.207 0.793 0.375 Al
0.213 0.787 0.768 Al
0.372 0.628 0.029 Al
0.444 0.556 0.669 Al
0.556 0.444 0.169 Al
0.628 0.372 0.529 Al
0.787 0.213 0.268 Al
0.793 0.207 0.875 Al
0.900 0.100 0.372 Al
0.109 0.891 0.251 Ir
0.272 0.728 0.073 Ir
0.450 0.550 0.287 Ir
0.550 0.450 0.787 Ir
0.728 0.272 0.573 Ir
0.891 0.109 0.751 Ir
```



Calculated powder diffraction line list of TbSm4S6 for copper Kα, from a PBE-relaxed structure.
Lines closer than 0.1° are merged.

Principal peaks in the range 15° ≤ 2θ ≤ 90°, by intensity:
d [Å]	intensity
3.445	100
2.802	77
3.266	52
2.676	51
2.092	38
2.017	30
3.299	30
1.696	30
3.505	29
2.887	28

Structure:
```
TbSm4S6
1.0
1.949 -6.598 0.000
1.949 6.598 0.000
0.000 0.000 20.194
Tb Sm S
2 8 12
Direct
0.153 0.847 0.750 Tb
0.847 0.153 0.250 Tb
0.091 0.909 0.129 Sm
0.091 0.909 0.371 Sm
0.360 0.640 0.040 Sm
0.360 0.640 0.460 Sm
0.640 0.360 0.540 Sm
0.640 0.360 0.960 Sm
0.909 0.091 0.629 Sm
0.909 0.091 0.871 Sm
0.000 0.000 0.000 S
0.000 0.000 0.500 S
0.198 0.802 0.250 S
0.270 0.730 0.590 S
0.270 0.730 0.910 S
0.447 0.553 0.169 S
0.447 0.553 0.331 S
0.553 0.447 0.669 S
0.553 0.447 0.831 S
0.730 0.270 0.090 S
0.730 0.270 0.410 S
0.802 0.198 0.750 S
```



Calculated powder diffraction line list of NdSmSiSe for copper Kα, from a PBE-relaxed structure.
Lines closer than 0.1° are merged.

Principal peaks in the range 15° ≤ 2θ ≤ 90°, by intensity:
d [Å]	intensity
3.000	100
2.132	37
2.111	37
3.452	30
1.726	20
1.336	17
1.347	16
1.223	12
1.500	12
3.499	10

Structure:
```
NdSmSiSe
1.0
4.221 0.000 0.000
-2.111 3.656 0.000
0.000 0.000 20.992
Nd Sm Si Se
3 3 3 3
Direct
0.000 0.000 0.000 Nd
0.333 0.667 0.667 Nd
0.667 0.333 0.333 Nd
0.000 0.000 0.493 Sm
0.333 0.667 0.159 Sm
0.667 0.333 0.826 Sm
0.000 0.000 0.747 Si
0.333 0.667 0.414 Si
0.667 0.333 0.081 Si
0.000 0.000 0.245 Se
0.333 0.667 0.912 Se
0.667 0.333 0.578 Se
```



Repeat the third record exactly.
Calculated powder diffraction line list of Na2PmI5 for copper Kα, from a PBE-relaxed structure.
Lines closer than 0.1° are merged.

Principal peaks in the range 15° ≤ 2θ ≤ 90°, by intensity:
d [Å]	intensity
2.983	100
3.258	97
3.215	71
3.620	71
2.816	52
2.681	47
3.083	43
4.782	40
2.390	35
2.090	29

Structure:
```
Na2PmI5
1.0
13.939 0.000 0.000
0.000 9.560 0.000
0.000 0.000 9.147
Na Pm I
8 4 20
Direct
0.180 0.017 0.018 Na
0.180 0.483 0.018 Na
0.320 0.517 0.518 Na
0.320 0.983 0.518 Na
0.680 0.017 0.482 Na
0.680 0.483 0.482 Na
0.820 0.517 0.982 Na
0.820 0.983 0.982 Na
0.006 0.750 0.586 Pm
0.494 0.250 0.086 Pm
0.506 0.750 0.914 Pm
0.994 0.250 0.414 Pm
0.007 0.750 0.941 I
0.087 0.047 0.663 I
0.087 0.453 0.663 I
0.182 0.750 0.364 I
0.213 0.250 0.321 I
0.287 0.750 0.821 I
0.318 0.250 0.864 I
0.413 0.547 0.163 I
0.413 0.953 0.163 I
0.493 0.250 0.441 I
0.507 0.750 0.559 I
0.587 0.047 0.837 I
0.587 0.453 0.837 I
0.682 0.750 0.136 I
0.713 0.250 0.179 I
0.787 0.750 0.679 I
0.818 0.250 0.636 I
0.913 0.547 0.337 I
0.913 0.953 0.337 I
0.993 0.250 0.059 I
```